Structure and theoretical X-ray diffraction stick pattern of RhBr7 (a DFT-relaxed cell (GGA-PBE, Alexandria); copper Kα).

Most intense lines, 2θ = 10–90°, in order of rising 2θ:
d/Å, Rel. int.
5.361, 1
2.681, 100
2.321, 49
1.642, 33
1.400, 39
1.340, 11
1.161, 5

Structure:
a b c (Å): 6.566 6.566 6.566
angles (deg): 60.00 60.00 60.00
Positions (direct):
Rh (0.000, 0.000, 0.000)
Br (0.000, 0.000, 0.500)
Br (0.000, 0.500, 0.000)
Br (0.000, 0.500, 0.500)
Br (0.500, 0.000, 0.000)
Br (0.500, 0.000, 0.500)
Br (0.500, 0.500, 0.000)
Br (0.500, 0.500, 0.500)